This entry pairs a crystal structure of NaZrCuSe3 with its simulated PXRD pattern. Radiation: Cu Kα (λ = 1.5418 Å). Structure: a crystal structure in the Materials Project, relaxed with GGA-PBE.

Top 8 peaks for 15 to 90 degrees two-theta, in order of rising 2θ:
28.9°, d = 3.088 Å, rel. 92, (2 0 3); 31.5°, d = 2.840 Å, rel. 92, (3 1 1); 31.7°, d = 2.824 Å, rel. 50, (2 1 2); 35.0°, d = 2.566 Å, rel. 100, (3 1 2); 37.3°, d = 2.412 Å, rel. 34, (2 1 3); 44.0°, d = 2.057 Å, rel. 93, (5 1 2); 47.1°, d = 1.931 Å, rel. 51, (0 2 0); 49.9°, d = 1.827 Å, rel. 29, (0 1 5)

Structure:
```
NaZrCuSe3
1.0
13.7567 0.0000 0.0000
0.0000 3.8610 0.0000
0.0000 0.0000 10.3678
Na Zr Cu Se
4 4 4 12
Cartesian
3.1395 0.9652 0.4554
3.7388 2.8958 5.6392
10.0179 0.9652 4.7285
10.6171 2.8958 9.9124
0.1457 0.9652 3.3350
6.7326 2.8958 8.5189
7.0240 0.9652 1.8489
13.6110 2.8958 7.0327
0.1150 2.8958 0.9527
6.7634 0.9652 6.1366
6.9933 2.8958 4.2312
13.6417 0.9652 9.4151
1.4158 0.9652 5.8536
1.4352 2.8958 9.1450
1.8998 2.8958 2.6180
4.9785 0.9652 7.8018
5.4431 0.9652 3.9611
5.4625 2.8958 0.6697
8.2942 0.9652 9.6981
8.3136 2.8958 6.4066
8.7781 2.8958 2.5659
11.8569 0.9652 7.7498
12.3214 0.9652 1.2228
12.3408 2.8958 4.5142
```